Calculated powder XRD pattern
Compound: Y3Er5Te
Radiation: copper Kα
Structure: a structure optimized by DFT (GGA-PBE)

Atomic structure:
Lattice parameters (Å, degrees): 9.1828 9.1828 3.7710 90.00 90.00 120.00
Positions (direct):
Y (0.0000, 0.6157, 0.0000)
Y (0.3843, 0.3843, 0.0000)
Y (0.6157, 0.0000, 0.0000)
Er (0.0000, 0.2752, 0.5000)
Er (0.2752, 0.0000, 0.5000)
Er (0.3333, 0.6667, 0.5000)
Er (0.6667, 0.3333, 0.5000)
Er (0.7248, 0.7248, 0.5000)
Te (0.0000, 0.0000, 0.0000)

Peak list (10 most intense, 10° ≤ 2θ ≤ 90°, in order of rising 2θ)
Position (°2θ)  d [Å]  Rel. int.
19.3  4.591  172
29.7  3.006  467
30.7  2.914  1000
32.7  2.736  705
33.8  2.651  994
38.3  2.350  540
48.3  1.886  195
56.0  1.642  484
60.2  1.536  375
70.5  1.336  195

***

Calculated powder XRD pattern
Compound: Mo2W4Au3N3
Radiation: copper Kα
Structure: a structure optimized by DFT (GGA-PBE)

Atomic structure:
Lattice parameters (Å, degrees): 5.3331 5.3331 14.2916 103.93 103.93 60.35
Positions (direct):
Mo (0.0651, 0.0764, 0.3971)
Mo (0.0764, 0.0651, 0.8971)
Mo (0.9236, 0.9349, 0.1029)
Mo (0.9349, 0.9236, 0.6029)
W (0.1869, 0.3503, 0.0797)
W (0.3274, 0.4639, 0.4255)
W (0.3503, 0.1869, 0.5797)
W (0.4639, 0.3274, 0.9255)
W (0.5361, 0.6726, 0.0745)
W (0.6497, 0.8131, 0.4203)
W (0.6726, 0.5361, 0.5745)
W (0.8131, 0.6497, 0.9203)
Au (0.0596, 0.3275, 0.7452)
Au (0.3275, 0.0596, 0.2452)
Au (0.4102, 0.5898, 0.7500)
Au (0.5898, 0.4102, 0.2500)
Au (0.6725, 0.9404, 0.7548)
Au (0.9404, 0.6725, 0.2548)
N (0.0000, 0.5000, 0.5000)
N (0.1512, 0.7468, 0.9745)
N (0.2532, 0.8488, 0.5255)
N (0.5000, 0.0000, 0.0000)
N (0.7468, 0.1512, 0.4745)
N (0.8488, 0.2532, 0.0255)

Peak list (10 most intense, 10° ≤ 2θ ≤ 90°, in order of rising 2θ)
Position (°2θ)  d [Å]  Rel. int.
33.4  2.681  191
33.7  2.662  419
38.1  2.360  920
38.9  2.313  1000
39.4  2.288  633
40.2  2.246  906
41.4  2.179  147
52.6  1.740  165
59.9  1.544  246
73.3  1.292  153

***

Calculated powder XRD pattern
Compound: TbCu2Te2Se
Radiation: copper Kα
Structure: a structure optimized by DFT (GGA-PBE)

Atomic structure:
Lattice parameters (Å, degrees): 10.7329 10.7329 7.4436 98.27 98.27 21.78
Positions (direct):
Tb (0.1454, 0.1454, 0.0281)
Tb (0.8546, 0.8546, 0.9719)
Cu (0.2080, 0.2080, 0.4184)
Cu (0.4551, 0.4551, 0.8380)
Cu (0.5449, 0.5449, 0.1620)
Cu (0.7920, 0.7920, 0.5816)
Te (0.0838, 0.0838, 0.3742)
Te (0.2503, 0.2503, 0.7646)
Te (0.7497, 0.7497, 0.2354)
Te (0.9162, 0.9162, 0.6258)
Se (0.4274, 0.4274, 0.1499)
Se (0.5726, 0.5726, 0.8501)

Peak list (10 most intense, 10° ≤ 2θ ≤ 90°, in order of rising 2θ)
Position (°2θ)  d [Å]  Rel. int.
12.0  7.363  328
13.7  6.479  346
25.4  3.503  752
27.5  3.239  532
29.0  3.076  992
33.6  2.666  302
38.1  2.365  767
40.9  2.207  319
42.7  2.116  1000
44.7  2.028  481

***

Calculated powder XRD pattern
Compound: Tb2HoNi2C2N3
Radiation: copper Kα
Structure: a structure optimized by DFT (GGA-PBE)

Atomic structure:
Lattice parameters (Å, degrees): 10.0635 10.0635 10.0635 160.18 160.18 28.18
Positions (direct):
Tb (0.1258, 0.1258, 0.0000)
Tb (0.8742, 0.8742, 0.0000)
Ho (0.5000, 0.5000, 0.0000)
Ni (0.2500, 0.7500, 0.5000)
Ni (0.7500, 0.2500, 0.5000)
C (0.3098, 0.3098, 0.0000)
C (0.6902, 0.6902, 0.0000)
N (0.0000, 0.0000, 0.0000)
N (0.3815, 0.3815, 0.0000)
N (0.6185, 0.6185, 0.0000)

Peak list (10 most intense, 10° ≤ 2θ ≤ 90°, in order of rising 2θ)
Position (°2θ)  d [Å]  Rel. int.
29.2  3.058  1000
34.6  2.591  752
36.7  2.450  404
36.8  2.440  471
37.9  2.376  376
41.2  2.189  301
46.4  1.957  254
52.8  1.732  367
61.5  1.507  268
66.2  1.413  328

***

Calculated powder XRD pattern
Compound: BIr4
Radiation: copper Kα
Structure: a structure optimized by DFT (GGA-PBE)

Atomic structure:
Lattice parameters (Å, degrees): 3.8310 3.8310 9.1649 90.00 90.00 90.00
Positions (direct):
B (0.2500, 0.2500, 0.1288)
B (0.7500, 0.7500, 0.8712)
Ir (0.2500, 0.2500, 0.5007)
Ir (0.2500, 0.7500, 0.0000)
Ir (0.2500, 0.7500, 0.2902)
Ir (0.2500, 0.7500, 0.7098)
Ir (0.7500, 0.2500, 0.0000)
Ir (0.7500, 0.2500, 0.2902)
Ir (0.7500, 0.2500, 0.7098)
Ir (0.7500, 0.7500, 0.4993)

Peak list (10 most intense, 10° ≤ 2θ ≤ 90°, in order of rising 2θ)
Position (°2θ)  d [Å]  Rel. int.
33.1  2.709  376
34.5  2.598  379
38.6  2.332  396
39.3  2.291  282
44.7  2.027  1000
47.5  1.916  593
63.3  1.470  285
69.4  1.354  193
81.7  1.179  238
86.4  1.126  316